Simulated PXRD pattern of Rb3Cr for Cu Kα (weighted mean of Kα1 and Kα2), from DFT lattice parameters and positions (GGA-PBE).

Structure:
Unit cell a=6.2977 b=6.2977 c=12.1278 alpha=90.00 beta=90.00 gamma=90.00
Space group I4/mmm (No. 139)
Inequivalent atoms, fractional coordinates:
Rb (0.0000, 0.0000, 0.0000) [2 per cell]
Rb (0.0000, 0.5000, 0.2500) [4 per cell]
Cr (0.0000, 0.0000, 0.5000) [2 per cell]

Main lines, in order of falling intensity (2θ from 5° to 70°):
2θ (°)  intensity  h k l
24.8  100  1 1 2
28.3  36  2 0 0
48.1  31  3 1 2
41.3  25  2 0 4
29.5  16  0 0 4
49.5  15  1 1 6
50.9  13  2 2 4
40.5  13  2 2 0
65.8  12  3 1 6
64.6  6  3 3 2